The following is a calculated PXRD pattern of Dy2W3O12. It was derived from a crystal structure in the Materials Project, relaxed with PBE+U, using Cu Kα (weighted mean of Kα1 and Kα2).
No peak broadening, texture or thermal motion is included.

```
data_Dy2W3O12
_symmetry_space_group_name_H-M 'P 1'
_symmetry_Int_Tables_number 1
_cell_length_a 6.927
_cell_length_b 6.927
_cell_length_c 11.409
_cell_angle_alpha 100.77
_cell_angle_beta 100.77
_cell_angle_gamma 111.88
loop_
_symmetry_equiv_pos_as_xyz
'x,y,z'
loop_
_atom_site_label
_atom_site_fract_x
_atom_site_fract_y
_atom_site_fract_z
_atom_site_occupancy
Dy1 0.042 0.288 0.093 1
Dy2 0.288 0.042 0.593 1
Dy3 0.712 0.958 0.407 1
Dy4 0.958 0.712 0.907 1
W1 0.132 0.868 0.250 1
W2 0.247 0.460 0.450 1
W3 0.460 0.247 0.950 1
W4 0.540 0.753 0.050 1
W5 0.753 0.540 0.550 1
W6 0.868 0.132 0.750 1
O1 0.077 0.661 0.105 1
O2 0.080 0.181 0.460 1
O3 0.100 0.458 0.298 1
O4 0.129 0.209 0.720 1
O5 0.181 0.080 0.960 1
O6 0.209 0.129 0.220 1
O7 0.230 0.667 0.561 1
O8 0.333 0.770 0.939 1
O9 0.339 0.923 0.395 1
O10 0.394 0.471 0.074 1
O11 0.458 0.100 0.798 1
O12 0.471 0.394 0.574 1
O13 0.529 0.606 0.426 1
O14 0.542 0.900 0.202 1
O15 0.606 0.529 0.926 1
O16 0.661 0.077 0.605 1
O17 0.667 0.230 0.061 1
O18 0.770 0.333 0.439 1
O19 0.791 0.871 0.780 1
O20 0.819 0.920 0.040 1
O21 0.871 0.791 0.280 1
O22 0.900 0.542 0.702 1
O23 0.920 0.819 0.540 1
O24 0.923 0.339 0.895 1
```

Largest 12 diffraction maxima, by intensity, 10 to 90 degrees two-theta:
| 2theta | intensity |
| --- | --- |
| 27.8 | 100 |
| 29.4 | 72 |
| 46.8 | 37 |
| 31.2 | 28 |
| 46.9 | 22 |
| 33.9 | 17 |
| 34.2 | 16 |
| 16.5 | 16 |
| 53.4 | 14 |
| 25.0 | 14 |
| 24.8 | 14 |
| 56.4 | 13 |

***

The following is a calculated PXRD pattern of ErMoO4F. It was derived from a crystal structure in the Materials Project, relaxed with PBE+U, using Cu Kα (weighted mean of Kα1 and Kα2).
No peak broadening, texture or thermal motion is included.

```
data_ErMoO4F
_symmetry_space_group_name_H-M 'P 1'
_symmetry_Int_Tables_number 1
_cell_length_a 5.236
_cell_length_b 12.369
_cell_length_c 6.683
_cell_angle_alpha 90.00
_cell_angle_beta 113.33
_cell_angle_gamma 90.00
loop_
_symmetry_equiv_pos_as_xyz
'x,y,z'
loop_
_atom_site_label
_atom_site_fract_x
_atom_site_fract_y
_atom_site_fract_z
_atom_site_occupancy
Er1 0.139 0.051 0.300 1
Er2 0.139 0.449 0.800 1
Er3 0.861 0.551 0.200 1
Er4 0.861 0.949 0.700 1
Mo1 0.420 0.144 0.869 1
Mo2 0.420 0.356 0.369 1
Mo3 0.580 0.644 0.631 1
Mo4 0.580 0.856 0.131 1
O1 0.189 0.065 0.962 1
O2 0.189 0.435 0.462 1
O3 0.260 0.653 0.405 1
O4 0.260 0.847 0.905 1
O5 0.307 0.221 0.296 1
O6 0.307 0.279 0.796 1
O7 0.498 0.069 0.661 1
O8 0.498 0.431 0.161 1
O9 0.502 0.569 0.839 1
O10 0.502 0.931 0.339 1
O11 0.693 0.721 0.204 1
O12 0.693 0.779 0.704 1
O13 0.740 0.153 0.095 1
O14 0.740 0.347 0.595 1
O15 0.811 0.565 0.538 1
O16 0.811 0.935 0.038 1
F1 0.043 0.598 0.963 1
F2 0.043 0.902 0.463 1
F3 0.957 0.098 0.537 1
F4 0.957 0.402 0.037 1
```

Largest 12 diffraction maxima, by intensity, 10 to 90 degrees two-theta:
| 2theta | intensity |
| --- | --- |
| 28.5 | 100 |
| 23.4 | 96 |
| 14.3 | 80 |
| 28.7 | 55 |
| 27.6 | 49 |
| 35.0 | 40 |
| 19.8 | 39 |
| 32.4 | 34 |
| 31.3 | 32 |
| 46.5 | 30 |
| 34.5 | 26 |
| 57.8 | 26 |